1.
CeNd6Tm3: calculated X-ray diffraction stick pattern (CuKα), based on a cell relaxed with PBE.
No peak broadening, texture or thermal motion is included.

Principal peaks in the range 10° ≤ 2θ ≤ 80°, by angle:
28.78 deg, I = 62, (1 1 3); 31.28 deg, I = 100, (3 0 0); 31.74 deg, I = 19, (1 0 4); 36.68 deg, I = 10, (0 2 4); 41.10 deg, I = 17, (2 1 4); 43.02 deg, I = 20, (2 2 3); 48.96 deg, I = 13, (1 3 4); 54.14 deg, I = 21, (4 1 3); 55.68 deg, I = 19, (3 3 0); 56.32 deg, I = 12, (3 0 6); 65.26 deg, I = 12, (6 0 0); 72.84 deg, I = 8, (5 2 3)

Lattice parameters (Å, degrees): 9.9051 9.9051 11.9405 90.00 90.00 120.00
Space group R32 (No. 155, hexagonal axes)
Inequivalent atoms, fractional coordinates:
Ce 0.0000 0.0000 0.0000 x3
Nd 0.0000 0.3244 0.0000 x9
Nd 0.0000 0.6723 0.5000 x9
Tm 0.0000 0.0000 0.2490 x6
Tm 0.0000 0.0000 0.5000 x3

2.
TbSm2Dy2Sc: calculated X-ray diffraction stick pattern (CuKα), based on a cell relaxed with PBE.
No peak broadening, texture or thermal motion is included.

Principal peaks in the range 10° ≤ 2θ ≤ 80°, by angle:
18.36 deg, I = 7, (0 0 2); 25.95 deg, I = 14, (2 0 0); 32.00 deg, I = 100, (0 2 0); 32.09 deg, I = 58, (0 1 3); 41.71 deg, I = 23, (2 2 0); 45.92 deg, I = 25, (2 2 2); 53.37 deg, I = 7, (4 0 0); 57.13 deg, I = 36, (0 3 3); 63.64 deg, I = 25, (4 2 0); 63.82 deg, I = 6, (2 3 3); 67.09 deg, I = 10, (0 4 0); 76.25 deg, I = 10, (2 4 2)

Lattice parameters (Å, degrees): 6.8664 5.5842 9.6593 90.00 90.00 90.00
Space group Pmma (No. 51)
Inequivalent atoms, fractional coordinates:
Tb 0.2500 0.0000 0.1512 x2
Sm 0.0000 0.0000 0.5000 x2
Sm 0.2500 0.5000 0.6860 x2
Dy 0.2500 0.0000 0.8296 x2
Dy 0.2500 0.5000 0.3376 x2
Sc 0.0000 0.5000 0.0000 x2

3.
CuPb2F7: calculated X-ray diffraction stick pattern (CuKα), based on a cell relaxed with PBE.
No peak broadening, texture or thermal motion is included.

Principal peaks in the range 10° ≤ 2θ ≤ 80°, by angle:
14.95 deg, I = 16, (1 1 0); 25.37 deg, I = 56, (3 1 -1); 25.74 deg, I = 51, (3 1 -2); 26.54 deg, I = 100, (0 2 1); 28.49 deg, I = 36, (0 0 2); 32.26 deg, I = 29, (3 1 0); 33.13 deg, I = 20, (3 1 -3); 41.12 deg, I = 31, (3 3 -1); 44.47 deg, I = 16, (3 1 -4); 46.59 deg, I = 16, (3 3 -3); 49.28 deg, I = 17, (0 2 3); 50.30 deg, I = 19, (6 2 -3)

Lattice parameters (Å, degrees): 12.2327 7.9573 8.6280 90.00 133.43 90.00
Space group C2/c (No. 15)
Inequivalent atoms, fractional coordinates:
Cu 0.0000 0.1260 0.2500 x4
Pb 0.1675 0.3983 0.7644 x8
F 0.0000 0.4126 0.2500 x4
F 0.1020 0.1224 0.5319 x8
F 0.1278 0.2813 0.9765 x8
F 0.1813 0.1017 0.3351 x8

4.
UCo6Ge6: calculated X-ray diffraction stick pattern (CuKα), based on a cell relaxed with PBE.
No peak broadening, texture or thermal motion is included.

Principal peaks in the range 10° ≤ 2θ ≤ 80°, by angle:
23.07 deg, I = 26, (1 0 1); 35.19 deg, I = 71, (1 1 0); 39.88 deg, I = 45, (1 0 3); 40.86 deg, I = 55, (2 0 0); 42.19 deg, I = 100, (1 1 2); 46.00 deg, I = 22, (0 0 4); 47.16 deg, I = 23, (2 0 2); 49.80 deg, I = 24, (1 1 3); 63.16 deg, I = 22, (3 0 0); 66.31 deg, I = 20, (2 1 3); 67.95 deg, I = 24, (3 0 2); 74.40 deg, I = 29, (2 2 0)

Lattice parameters (Å, degrees): 5.1005 5.1005 7.8923 90.00 90.00 120.00
Space group P6/mmm (No. 191)
Inequivalent atoms, fractional coordinates:
U 0.0000 0.0000 0.0000 x1
Co 0.0000 0.5000 0.2514 x6
Ge 0.0000 0.0000 0.3465 x2
Ge 0.3333 0.6667 0.0000 x2
Ge 0.3333 0.6667 0.5000 x2

5.
Nd3SbI3: calculated X-ray diffraction stick pattern (CuKα), based on a cell relaxed with PBE.
No peak broadening, texture or thermal motion is included.

Principal peaks in the range 10° ≤ 2θ ≤ 80°, by angle:
15.18 deg, I = 9, (0 0 6); 23.41 deg, I = 14, (1 1 0); 28.02 deg, I = 100, (2 -1 6); 32.95 deg, I = 9, (2 -1 9); 38.92 deg, I = 34, (1 1 12); 41.15 deg, I = 33, (3 0 0); 45.61 deg, I = 6, (1 1 15); 50.52 deg, I = 19, (2 2 6); 57.93 deg, I = 11, (4 -2 12); 63.97 deg, I = 12, (3 0 18); 67.12 deg, I = 16, (5 -1 6); 73.50 deg, I = 10, (4 1 12)

Lattice parameters (Å, degrees): 7.5990 7.5990 35.0109 90.00 90.00 120.00
Space group R-3 (No. 148, hexagonal axes)
Inequivalent atoms, fractional coordinates:
Nd 0.0000 0.3297 0.0491 x18
Sb 0.0000 0.0000 0.3333 x6
I 0.0000 0.3369 0.8930 x18

6.
Ac11Ir4Pb9: calculated X-ray diffraction stick pattern (CuKα), based on a cell relaxed with PBE.
No peak broadening, texture or thermal motion is included.

Principal peaks in the range 10° ≤ 2θ ≤ 80°, by angle:
28.32 deg, I = 9, (2 4 1); 28.90 deg, I = 9, (1 5 1); 29.46 deg, I = 13, (3 3 1); 31.17 deg, I = 100, (0 6 1); 32.99 deg, I = 36, (4 6 0); 33.36 deg, I = 18, (3 5 1); 35.48 deg, I = 10, (1 9 0); 36.02 deg, I = 10, (6 2 0); 41.84 deg, I = 21, (0 0 2); 54.29 deg, I = 18, (4 6 2); 65.10 deg, I = 7, (8 0 2); 69.79 deg, I = 10, (0 6 3)

Lattice parameters (Å, degrees): 15.3235 23.0910 4.3176 90.00 90.00 90.00
Space group Cmmm (No. 65)
Inequivalent atoms, fractional coordinates:
Ac 0.0000 0.0000 0.0000 x2
Ac 0.0000 0.1665 0.0000 x4
Ac 0.0000 0.3756 0.0000 x4
Ac 0.1895 0.5000 0.0000 x4
Ac 0.2495 0.3332 0.0000 x8
Ir 0.1565 0.3989 0.5000 x8
Pb 0.0000 0.5000 0.5000 x2
Pb 0.1058 0.2653 0.5000 x8
Pb 0.1444 0.0733 0.5000 x8

7.
Sn2Pd2PtRh: calculated X-ray diffraction stick pattern (CuKα), based on a cell relaxed with PBE.
No peak broadening, texture or thermal motion is included.

Principal peaks in the range 10° ≤ 2θ ≤ 80°, by angle:
33.94 deg, I = 14, (1 2 1); 36.01 deg, I = 15, (0 3 1); 37.48 deg, I = 86, (1 0 2); 37.79 deg, I = 16, (0 2 2); 38.92 deg, I = 100, (1 3 0); 39.08 deg, I = 46, (1 1 2); 42.02 deg, I = 21, (1 3 1); 42.60 deg, I = 51, (2 0 0); 45.28 deg, I = 39, (0 3 2); 63.92 deg, I = 29, (2 3 2); 70.07 deg, I = 13, (0 6 1); 75.51 deg, I = 15, (3 3 0)

Lattice parameters (Å, degrees): 4.2442 8.2816 5.8187 90.00 90.00 90.00
Space group Pmc2_1 (No. 26)
Inequivalent atoms, fractional coordinates:
Sn 0.0000 0.1380 0.0000 x2
Sn 0.5000 0.3550 0.6105 x2
Pd 0.0000 0.4625 0.8683 x2
Pd 0.5000 0.3165 0.1446 x2
Pt 0.0000 0.1830 0.4584 x2
Rh 0.5000 0.0418 0.7484 x2

8.
Hf2VTe4: calculated X-ray diffraction stick pattern (CuKα), based on a cell relaxed with PBE.
No peak broadening, texture or thermal motion is included.

Principal peaks in the range 10° ≤ 2θ ≤ 80°, by angle:
13.47 deg, I = 31, (2 0 0); 29.18 deg, I = 48, (4 0 -2); 29.30 deg, I = 100, (1 1 1); 37.38 deg, I = 23, (2 0 2); 37.81 deg, I = 37, (3 1 1); 38.03 deg, I = 49, (5 1 -1); 45.35 deg, I = 37, (3 1 -3); 46.07 deg, I = 21, (0 2 0); 49.49 deg, I = 15, (7 1 -1); 55.46 deg, I = 16, (4 2 -2); 60.77 deg, I = 11, (2 2 2); 75.26 deg, I = 13, (8 2 0)

Lattice parameters (Å, degrees): 14.8027 3.9406 6.9629 90.00 117.33 90.00
Space group C2/m (No. 12)
Inequivalent atoms, fractional coordinates:
Hf 0.2499 0.0000 0.2163 x4
V 0.0000 0.5000 0.5000 x2
Te 0.1055 0.5000 0.9464 x4
Te 0.1245 0.0000 0.4564 x4

9.
Na5TlAg: calculated X-ray diffraction stick pattern (CuKα), based on a cell relaxed with PBE.
No peak broadening, texture or thermal motion is included.

Principal peaks in the range 10° ≤ 2θ ≤ 80°, by angle:
20.80 deg, I = 100, (1 1 1); 21.01 deg, I = 99, (3 1 -1); 21.35 deg, I = 43, (0 2 0); 22.50 deg, I = 42, (4 0 0); 28.19 deg, I = 37, (2 0 -2); 31.21 deg, I = 68, (4 2 0); 35.63 deg, I = 45, (2 2 -2); 36.11 deg, I = 23, (2 0 2); 37.09 deg, I = 37, (1 3 1); 37.22 deg, I = 36, (3 3 -1); 38.37 deg, I = 30, (5 1 1); 38.74 deg, I = 29, (7 1 -1)

Lattice parameters (Å, degrees): 16.9495 8.3255 6.3310 90.00 111.13 90.00
Space group C2/c (No. 15)
Inequivalent atoms, fractional coordinates:
Na 0.0000 0.1516 0.2500 x4
Na 0.1152 0.4991 0.1155 x8
Na 0.1742 0.1115 0.9285 x8
Tl 0.2500 0.2500 0.5000 x4
Ag 0.0000 0.2559 0.7500 x4

10.
MnGaTc: calculated X-ray diffraction stick pattern (CuKα), based on a cell relaxed with PBE.
No peak broadening, texture or thermal motion is included.

Principal peaks in the range 10° ≤ 2θ ≤ 80°, by angle:
19.18 deg, I = 4, (0 0 2); 32.20 deg, I = 8, (1 0 1); 38.94 deg, I = 3, (0 0 4); 42.68 deg, I = 100, (1 0 3); 43.93 deg, I = 47, (1 1 0); 59.99 deg, I = 8, (0 0 6); 60.13 deg, I = 3, (1 1 4); 63.88 deg, I = 15, (2 0 0); 73.35 deg, I = 2, (2 1 1); 77.27 deg, I = 15, (1 1 6); 79.64 deg, I = 2, (1 0 7); 79.90 deg, I = 29, (2 1 3)

Lattice parameters (Å, degrees): 2.9146 2.9146 9.2527 90.00 90.00 90.00
Space group I4mm (No. 107)
Inequivalent atoms, fractional coordinates:
Mn 0.0000 0.0000 0.0000 x2
Ga 0.0000 0.0000 0.3387 x2
Tc 0.0000 0.0000 0.6547 x2

11.
CoAs4Os: calculated X-ray diffraction stick pattern (CuKα), based on a cell relaxed with PBE.
No peak broadening, texture or thermal motion is included.

Principal peaks in the range 10° ≤ 2θ ≤ 80°, by angle:
16.73 deg, I = 22, (1 0 0); 21.97 deg, I = 44, (0 1 1); 22.17 deg, I = 23, (1 1 -1); 33.63 deg, I = 47, (0 2 1); 33.83 deg, I = 100, (2 0 0); 36.96 deg, I = 41, (2 1 -2); 44.80 deg, I = 20, (0 2 2); 45.23 deg, I = 29, (2 2 -2); 47.47 deg, I = 65, (2 1 -3); 47.58 deg, I = 30, (0 3 1); 53.19 deg, I = 33, (0 1 3); 54.03 deg, I = 42, (2 3 -1)

Lattice parameters (Å, degrees): 6.0872 6.1336 6.1843 90.00 119.49 90.00
Space group P2_1/c (No. 14)
Inequivalent atoms, fractional coordinates:
Co 0.0000 0.0000 0.0000 x2
As 0.0821 0.1373 0.6777 x4
As 0.4055 0.6328 0.8231 x4
Os 0.5000 0.0000 0.0000 x2

12.
Sm6TlTe8: calculated X-ray diffraction stick pattern (CuKα), based on a cell relaxed with PBE.
No peak broadening, texture or thermal motion is included.

Principal peaks in the range 10° ≤ 2θ ≤ 80°, by angle:
21.53 deg, I = 33, (0 1 1); 22.65 deg, I = 23, (1 2 0); 25.73 deg, I = 46, (3 0 0); 26.21 deg, I = 40, (0 2 1); 30.22 deg, I = 100, (2 1 1); 31.04 deg, I = 46, (3 1 0); 36.00 deg, I = 85, (4 -2 1); 40.09 deg, I = 28, (0 0 2); 42.95 deg, I = 45, (3 2 1); 51.55 deg, I = 21, (4 -1 2); 66.33 deg, I = 21, (3 5 1); 68.38 deg, I = 20, (6 2 1)

Lattice parameters (Å, degrees): 11.9944 11.9944 4.4980 90.00 90.00 120.00
Space group P-3 (No. 147)
Inequivalent atoms, fractional coordinates:
Sm 0.1357 0.4839 0.2502 x6
Tl 0.0000 0.0000 0.0000 x1
Te 0.0466 0.6932 0.2486 x6
Te 0.3333 0.6667 0.7501 x2